No. 1
# HfCuReOs
Computed powder XRD pattern, Cu Kα X-rays. Input: a DFT-relaxed cell (PBE, Alexandria).
Peak positions follow from Bragg's law for the DFT cell and can differ from measured ones.

Principal peaks in the range 2θ = 10–90°, low angle first:
h k l	two_theta	d [Å]	Rel. int.
0 0 2	23.2	3.835	3
1 0 1	25.0	3.555	12
1 1 2	39.5	2.281	100
1 0 3	41.9	2.156	3
2 0 0	45.2	2.006	34
0 0 4	47.4	1.918	15
2 1 1	52.4	1.747	3
2 2 0	65.8	1.418	11
2 0 4	67.6	1.386	21
3 1 2	79.6	1.205	26
1 1 6	82.8	1.166	13
2 2 4	85.1	1.140	11

Structure:
Cell: 4.0120 4.0120 7.6707 Å, 90.00 90.00 90.00°
Space group I-4m2 (No. 119)
One atom of each set of equivalent atoms:
Hf 0.0000 0.0000 0.0000
Cu 0.0000 0.5000 0.7500
Re 0.0000 0.0000 0.5000
Os 0.0000 0.5000 0.2500



No. 2
# Hg4H2Pd5
Computed powder XRD pattern, Cu Kα X-rays. Input: a DFT-relaxed cell (PBE, Alexandria).
Peak positions follow from Bragg's law for the DFT cell and can differ from measured ones.

Principal peaks in the range 2θ = 10–90°, low angle first:
h k l	two_theta	d [Å]	Rel. int.
1 0 -2	27.6	3.233	37
2 0 0	32.6	2.746	22
1 1 -2	34.1	2.632	47
1 1 2	37.6	2.395	100
2 1 0	38.3	2.349	39
2 1 -1	38.8	2.322	23
0 2 0	39.8	2.267	44
1 1 -3	43.8	2.069	12
1 2 -2	49.1	1.856	16
2 2 0	52.3	1.748	12
3 1 -2	56.7	1.623	14
1 3 2	70.7	1.332	16

Structure:
Cell: 5.5522 4.5346 7.2631 Å, 90.00 98.51 90.00°
Space group P2/m (No. 10)
One atom of each set of equivalent atoms:
Hg 0.2291 0.0000 0.3793
Hg 0.2448 0.0000 0.8958
H 0.4086 0.5000 0.7266
Pd 0.0860 0.5000 0.6934
Pd 0.3142 0.5000 0.1152
Pd 0.5000 0.5000 0.5000



No. 3
# Y3Zn6Pd5
Computed powder XRD pattern, Cu Kα X-rays. Input: a DFT-relaxed cell (PBE, Alexandria).
Peak positions follow from Bragg's law for the DFT cell and can differ from measured ones.

Principal peaks in the range 2θ = 10–90°, low angle first:
h k l	two_theta	d [Å]	Rel. int.
1 0 3	30.6	2.918	28
0 2 4	34.4	2.607	44
1 3 0	34.6	2.594	61
0 3 3	34.9	2.573	31
1 2 3	35.7	2.516	100
1 1 4	37.5	2.396	52
1 3 2	37.7	2.388	60
1 4 1	43.0	2.102	53
2 0 0	43.4	2.085	70
0 0 6	44.4	2.042	30
1 3 4	45.8	1.979	47
1 4 7	69.4	1.353	39

Structure:
Cell: 4.1702 9.9364 12.2532 Å, 90.00 90.00 90.00°
Space group Immm (No. 71)
One atom of each set of equivalent atoms:
Y 0.0000 0.0000 0.0000
Y 0.0000 0.0000 0.2908
Zn 0.0000 0.1751 0.5000
Zn 0.0000 0.2907 0.1399
Pd 0.0000 0.3620 0.3500
Pd 0.0000 0.5000 0.0000



No. 4
# Zr3Zn2Pd8
Computed powder XRD pattern, Cu Kα X-rays. Input: a DFT-relaxed cell (PBE, Alexandria).
Peak positions follow from Bragg's law for the DFT cell and can differ from measured ones.

Principal peaks in the range 2θ = 10–90°, low angle first:
h k l	two_theta	d [Å]	Rel. int.
0 0 9	28.3	3.158	19
1 0 7	29.3	3.044	21
1 1 0	33.8	2.655	37
1 1 3	35.1	2.557	24
1 1 6	38.9	2.316	28
2 0 2	39.7	2.270	100
0 1 11	40.0	2.252	73
0 2 4	41.3	2.188	50
2 0 5	42.4	2.132	37
1 1 9	44.6	2.032	32
1 2 11	64.6	1.442	34
2 2 0	71.0	1.328	37

Structure:
Cell: 5.3103 5.3103 28.4180 Å, 90.00 90.00 120.00°
Space group R-3m (No. 166, hexagonal axes)
One atom of each set of equivalent atoms:
Zr 0.0000 0.0000 0.0000
Zr 0.0000 0.0000 0.1906
Zn 0.0000 0.0000 0.3678
Pd 0.0000 0.0000 0.2833
Pd 0.0017 0.5009 0.7728



No. 5
# MgGa2Cu2
Computed powder XRD pattern, Cu Kα X-rays. Input: a DFT-relaxed cell (PBE, Alexandria).
Peak positions follow from Bragg's law for the DFT cell and can differ from measured ones.

Principal peaks in the range 2θ = 10–90°, low angle first:
h k l	two_theta	d [Å]	Rel. int.
0 0 2	15.5	5.719	35
1 0 1	24.6	3.613	47
1 0 3	33.3	2.694	20
1 1 2	36.9	2.436	100
1 1 4	46.3	1.961	100
2 0 0	47.8	1.904	65
2 1 1	54.5	1.684	10
2 1 5	68.7	1.366	17
2 2 0	69.8	1.347	31
3 1 2	81.7	1.178	19
2 0 8	84.8	1.143	11
3 1 4	88.0	1.110	24

Structure:
Cell: 3.8079 3.8079 11.4386 Å, 90.00 90.00 90.00°
Space group I4/mmm (No. 139)
One atom of each set of equivalent atoms:
Mg 0.0000 0.0000 0.0000
Ga 0.0000 0.5000 0.2500
Cu 0.0000 0.0000 0.3958



No. 6
# CePu2SiN4
Computed powder XRD pattern, Cu Kα X-rays. Input: a DFT-relaxed cell (PBE, Alexandria).
Peak positions follow from Bragg's law for the DFT cell and can differ from measured ones.

Principal peaks in the range 2θ = 10–90°, low angle first:
h k l	two_theta	d [Å]	Rel. int.
0 0 2	15.0	5.906	51
0 2 3	27.5	3.246	90
0 0 4	30.3	2.953	31
0 4 0	31.2	2.866	51
1 1 2	31.6	2.835	100
1 3 0	35.5	2.527	35
1 3 1	36.4	2.471	30
1 3 2	38.8	2.323	61
1 1 5	47.7	1.907	41
1 3 5	53.1	1.726	27
0 2 7	56.9	1.619	24
2 2 3	62.1	1.495	29

Structure:
Cell: 3.3681 11.4660 11.8125 Å, 90.00 90.00 90.00°
Space group Cmcm (No. 63)
One atom of each set of equivalent atoms:
Ce 0.0000 0.0900 0.2500
Pu 0.0000 0.3660 0.0427
Si 0.0000 0.1768 0.7500
N 0.0000 0.0000 0.0000
N 0.0000 0.2731 0.6352
N 0.0000 0.4064 0.2500



No. 7
# PmEr12Co6
Computed powder XRD pattern, Cu Kα X-rays. Input: a DFT-relaxed cell (PBE, Alexandria).
Peak positions follow from Bragg's law for the DFT cell and can differ from measured ones.

Principal peaks in the range 2θ = 10–90°, low angle first:
h k l	two_theta	d [Å]	Rel. int.
3 0 1	29.2	3.063	54
2 2 2	32.0	2.796	50
3 1 2	34.6	2.589	100
4 0 0	37.1	2.422	18
5 0 1	47.9	1.900	25
5 3 0	55.3	1.661	37
6 0 0	57.0	1.615	13
5 2 3	58.8	1.571	40
5 3 4	68.5	1.370	19
6 5 3	83.5	1.158	13
8 2 2	85.0	1.142	18
7 0 5	86.4	1.126	18

Structure:
Cell: 9.6871 9.6871 9.6871 Å, 90.00 90.00 90.00°
Space group Im-3 (No. 204)
One atom of each set of equivalent atoms:
Pm 0.0000 0.0000 0.0000
Er 0.0000 0.3090 0.1937
Co 0.0000 0.1138 0.5000



No. 8
# NbTlPb2O6
Computed powder XRD pattern, Cu Kα X-rays. Input: a DFT-relaxed cell (PBE, Alexandria).
Peak positions follow from Bragg's law for the DFT cell and can differ from measured ones.

Principal peaks in the range 2θ = 10–90°, low angle first:
h k l	two_theta	d [Å]	Rel. int.
0 2 0	29.8	2.997	24
1 1 1	30.1	2.967	100
2 0 -2	30.4	2.937	25
0 0 4	43.1	2.098	35
1 3 1	53.1	1.724	18
0 2 4	53.3	1.719	11
2 0 -6	53.8	1.704	18
3 1 -5	54.0	1.699	11
2 2 2	62.5	1.485	7
2 2 -6	62.7	1.482	7
1 1 5	71.0	1.328	8
1 1 -7	71.1	1.326	8

Structure:
Cell: 5.8735 5.9936 10.2298 Å, 90.00 124.85 90.00°
Space group P2_1/c (No. 14)
One atom of each set of equivalent atoms:
Nb 0.0000 0.0000 0.0000
Tl 0.5000 0.0000 0.5000
Pb 0.2576 0.0352 0.7521
O 0.1470 0.0269 0.2341
O 0.2317 0.7225 0.0468
O 0.3214 0.1883 0.0399



No. 9
# Ba5Bi2I2
Computed powder XRD pattern, Cu Kα X-rays. Input: a DFT-relaxed cell (PBE, Alexandria).
Peak positions follow from Bragg's law for the DFT cell and can differ from measured ones.

Principal peaks in the range 2θ = 10–90°, low angle first:
h k l	two_theta	d [Å]	Rel. int.
2 2 1	23.0	3.870	36
3 1 2	25.5	3.498	100
0 2 2	26.1	3.411	29
5 1 1	28.3	3.155	28
4 2 1	28.9	3.091	96
1 1 3	29.6	3.022	73
1 3 1	29.9	2.992	74
5 1 2	32.6	2.749	48
1 3 3	40.0	2.255	25
0 4 4	53.7	1.707	35
7 3 3	54.1	1.695	22
4 2 5	55.0	1.669	26

Structure:
Cell: 17.7902 9.5847 9.7115 Å, 90.00 90.00 90.00°
Space group Cmce (No. 64)
One atom of each set of equivalent atoms:
Ba 0.0000 0.0000 0.0000
Ba 0.1274 0.1512 0.3532
Bi 0.0000 0.1545 0.6548
I 0.1973 0.0000 0.0000



No. 10
# Ce3ThO8
Computed powder XRD pattern, Cu Kα X-rays. Input: a DFT-relaxed cell (PBE, Alexandria).
Peak positions follow from Bragg's law for the DFT cell and can differ from measured ones.

Principal peaks in the range 2θ = 10–90°, low angle first:
h k l	two_theta	d [Å]	Rel. int.
1 0 0	16.1	5.505	4
1 1 0	22.8	3.892	4
1 1 1	28.1	3.178	100
2 0 0	32.5	2.752	32
2 1 0	36.5	2.462	3
2 2 0	46.7	1.946	53
3 1 1	55.4	1.660	46
2 2 2	58.0	1.589	9
4 0 0	68.1	1.376	8
3 3 1	75.2	1.263	18
4 2 0	77.6	1.231	13
4 2 2	86.6	1.124	17

Structure:
Cell: 5.5047 5.5047 5.5047 Å, 90.00 90.00 90.00°
Space group Pm-3m (No. 221)
One atom of each set of equivalent atoms:
Ce 0.0000 0.0000 0.5000
Th 0.5000 0.5000 0.5000
O 0.2480 0.2480 0.2480



No. 11
# Tb3Dy2Ru4
Computed powder XRD pattern, Cu Kα X-rays. Input: a DFT-relaxed cell (PBE, Alexandria).
Peak positions follow from Bragg's law for the DFT cell and can differ from measured ones.

Principal peaks in the range 2θ = 10–90°, low angle first:
h k l	two_theta	d [Å]	Rel. int.
1 0 2	28.6	3.119	20
0 1 3	36.1	2.490	90
1 1 0	36.9	2.439	100
2 0 3	52.5	1.742	30
1 1 5	63.1	1.474	11
1 0 6	64.3	1.448	9
1 2 3	65.9	1.418	31
3 0 0	66.4	1.408	18
2 2 0	78.4	1.219	11
3 0 5	87.0	1.120	8
2 1 6	88.1	1.109	8
3 1 3	89.5	1.095	14

Structure:
Cell: 4.8780 4.8780 9.2464 Å, 90.00 90.00 120.00°
Space group P-3m1 (No. 164)
One atom of each set of equivalent atoms:
Tb 0.0000 0.0000 0.0000
Tb 0.3333 0.6667 0.4093
Dy 0.3333 0.6667 0.7952
Ru 0.0000 0.0000 0.3576
Ru 0.3333 0.6667 0.1058



No. 12
# Pm9Dy2Er
Computed powder XRD pattern, Cu Kα X-rays. Input: a DFT-relaxed cell (PBE, Alexandria).
Peak positions follow from Bragg's law for the DFT cell and can differ from measured ones.

Principal peaks in the range 2θ = 10–90°, low angle first:
h k l	two_theta	d [Å]	Rel. int.
1 1 3	30.2	2.955	100
2 0 0	35.1	2.559	51
2 2 0	50.4	1.809	36
3 1 3	59.9	1.543	43
2 2 6	62.9	1.477	12
4 0 0	74.1	1.279	6
3 3 3	82.1	1.174	18
4 2 0	84.7	1.144	16

Structure:
Cell: 5.1171 5.1171 15.3563 Å, 90.00 90.00 90.00°
Space group P4/mmm (No. 123)
One atom of each set of equivalent atoms:
Pm 0.0000 0.0000 0.0000
Pm 0.0000 0.0000 0.3331
Pm 0.0000 0.5000 0.1662
Pm 0.0000 0.5000 0.5000
Dy 0.5000 0.5000 0.3330
Er 0.5000 0.5000 0.0000